No. 1
CsNa3P4H8O16: calculated XRD peak list (Cu Kα X-rays), based on a GGA-PBE-relaxed structure.
Peak positions follow from Bragg's law for the DFT cell and can differ from measured ones.

Principal peaks in the range 15 to 90 degrees two-theta, in order of rising 2θ:
- 22.1 deg, I = 24
- 26.5 deg, I = 100
- 28.0 deg, I = 46
- 29.7 deg, I = 48
- 33.2 deg, I = 29
- 33.5 deg, I = 24

Crystal structure
```
CsNa3P4H8O16
1.0
-3.9361 7.2885 3.5857
3.9361 -7.2885 3.5857
3.9361 7.2885 -3.5857
Cs Na P H O
1 3 4 8 16
Cartesian
0.0000 0.0000 0.0000 Cs
0.0000 4.0510 1.9599 Na
0.0000 7.2885 2.2201 Na
0.0000 10.5259 1.9599 Na
2.4079 5.8065 0.0697 P
1.5282 -1.4819 3.6555 P
2.4079 8.7704 0.0697 P
1.5282 1.4819 3.6555 P
3.1606 -2.0656 1.0707 H
4.7116 -2.0656 1.0707 H
0.7803 3.4827 -0.6425 H
3.1558 -3.8057 2.9433 H
3.1606 2.0656 1.0707 H
4.7116 2.0656 1.0707 H
0.7803 11.0942 -0.6425 H
3.1558 3.8057 2.9433 H
3.9361 -4.2266 3.3670 O
2.1974 4.8410 -1.0651 O
1.7387 -2.4474 2.5206 O
3.9361 1.9376 0.4787 O
2.3605 7.2885 -0.6230 O
1.5756 0.0000 2.9627 O
3.9361 5.7389 0.6154 O
2.1974 9.7359 -1.0651 O
1.7387 2.4474 2.5206 O
1.5602 5.7550 1.2957 O
2.3759 -1.5335 4.8814 O
0.0000 1.5496 4.2011 O
3.9361 4.2266 3.3670 O
1.5602 8.8219 1.2957 O
2.3759 1.5335 4.8814 O
0.0000 5.3509 4.0644 O
```

***

No. 2
CsH7O4: calculated XRD peak list (Cu Kα X-rays), based on a GGA-PBE-relaxed structure.
Peak positions follow from Bragg's law for the DFT cell and can differ from measured ones.

Principal peaks in the range 15 to 90 degrees two-theta, in order of rising 2θ:
- 17.8 deg, I = 100
- 19.3 deg, I = 58
- 20.5 deg, I = 76
- 26.2 deg, I = 52
- 30.7 deg, I = 87
- 31.3 deg, I = 54

Crystal structure
```
CsH7O4
1.0
8.7720 0.0000 0.0000
0.0000 6.0824 0.0000
-7.5024 0.0000 9.9496
Cs H O
4 28 16
Cartesian
-0.3171 0.8991 2.3255 Cs
-4.0683 2.1421 7.3002 Cs
5.3379 3.9403 2.6493 Cs
1.5867 5.1833 7.6241 Cs
-2.6415 0.7562 4.7924 H
-6.3927 2.2850 9.7672 H
0.2175 3.8388 1.0631 H
-3.5337 5.2849 6.0379 H
2.2493 3.8019 0.5961 H
-1.5019 5.3217 5.5709 H
-0.7944 3.2251 5.1626 H
2.9568 5.8986 0.1878 H
0.0652 4.0413 4.1162 H
-3.6860 5.0823 9.0909 H
-1.0076 1.1682 6.2764 H
2.7436 1.8730 1.3016 H
1.7722 3.7225 2.6252 H
-1.9790 5.4011 7.6000 H
3.2486 0.6813 2.3496 H
-0.5026 2.3599 7.3244 H
-1.4740 4.2094 8.6480 H
2.2772 4.9142 3.6732 H
4.9557 1.0001 0.8586 H
1.2045 2.0411 5.8334 H
-1.6871 0.1839 9.7617 H
2.0641 2.8574 4.7870 H
2.7715 0.7607 4.3787 H
-0.9797 2.2805 9.3534 H
4.8034 0.7976 3.9117 H
1.0522 2.2436 8.8864 H
7.6623 3.7974 0.1823 H
3.9111 5.3262 5.1571 H
-0.6997 4.2418 0.9874 O
-4.4509 4.8819 5.9622 O
-0.8661 3.9415 4.4684 O
-4.6172 5.1821 9.4432 O
1.7892 3.1181 1.1419 O
-1.9620 6.0055 6.1166 O
3.3198 1.0238 1.3854 O
-0.4314 2.0174 6.3602 O
1.7010 4.0650 3.5894 O
-2.0502 5.0586 8.5642 O
3.2317 0.0769 3.8329 O
-0.5195 2.9643 8.8077 O
5.8869 0.9003 0.5064 O
2.1357 2.1409 5.4811 O
5.7206 1.2005 3.9874 O
1.9694 1.8407 8.9622 O
```